1.
For Ca5Ag2N4, a cell relaxed with GGA-PBE gives the computed powder XRD pattern in this record (Cu Kα (weighted mean of Kα1 and Kα2)).
Peak positions follow from Bragg's law for the DFT cell and can differ from measured ones.

Most intense lines, 15° ≤ 2θ ≤ 90°, by angle:
2θ 15.7, intensity 23
2θ 25.8, intensity 47
2θ 32.1, intensity 100
2θ 35.5, intensity 42
2θ 40.4, intensity 18
2θ 54.9, intensity 16

```
Ca5Ag2N4
1.0
7.9901 0.0000 0.0000
0.0000 7.9901 0.0000
0.0000 0.0000 13.3855
Ca Ag N
20 8 16
Direct
0.0774 0.6330 0.0836
0.0774 0.8670 0.5836
0.1330 0.5774 0.4164
0.1330 0.9226 0.9164
0.2500 0.2500 0.1278
0.2500 0.2500 0.6278
0.3670 0.5774 0.9164
0.3670 0.9226 0.4164
0.4226 0.6330 0.5836
0.4226 0.8670 0.0836
0.5774 0.1330 0.9164
0.5774 0.3670 0.4164
0.6330 0.0774 0.5836
0.6330 0.4226 0.0836
0.7500 0.7500 0.3722
0.7500 0.7500 0.8722
0.8670 0.0774 0.0836
0.8670 0.4226 0.5836
0.9226 0.1330 0.4164
0.9226 0.3670 0.9164
0.0949 0.5949 0.7500
0.0949 0.9051 0.2500
0.4051 0.5949 0.2500
0.4051 0.9051 0.7500
0.5949 0.0949 0.2500
0.5949 0.4051 0.7500
0.9051 0.0949 0.7500
0.9051 0.4051 0.2500
0.0509 0.6373 0.9043
0.0509 0.8627 0.4043
0.1373 0.5509 0.5957
0.1373 0.9491 0.0957
0.3627 0.5509 0.0957
0.3627 0.9491 0.5957
0.4491 0.6373 0.4043
0.4491 0.8627 0.9043
0.5509 0.1373 0.0957
0.5509 0.3627 0.5957
0.6373 0.0509 0.4043
0.6373 0.4491 0.9043
0.8627 0.0509 0.9043
0.8627 0.4491 0.4043
0.9491 0.1373 0.5957
0.9491 0.3627 0.0957
```

2.
For Ca5Ag2N2, a cell relaxed with GGA-PBE gives the computed powder XRD pattern in this record (Cu Kα (weighted mean of Kα1 and Kα2)).
Peak positions follow from Bragg's law for the DFT cell and can differ from measured ones.

Most intense lines, 15° ≤ 2θ ≤ 90°, by angle:
2θ 20.5, intensity 38
2θ 27.0, intensity 35
2θ 30.6, intensity 100
2θ 35.9, intensity 55
2θ 38.2, intensity 43
2θ 39.7, intensity 36

```
Ca5Ag2N2
1.0
7.2631 -2.2729 0.0000
7.2631 2.2729 0.0000
-0.6866 0.0000 7.0668
Ca Ag N
5 2 2
Direct
0.0000 0.0000 0.0000
0.1312 0.1312 0.5974
0.3231 0.3231 0.9832
0.6769 0.6769 0.0168
0.8688 0.8688 0.4026
0.4715 0.4715 0.6785
0.5285 0.5285 0.3215
0.1578 0.1578 0.9078
0.8422 0.8422 0.0922
```

3.
For NaCa12Ag6, a cell relaxed with GGA-PBE gives the computed powder XRD pattern in this record (Cu Kα (weighted mean of Kα1 and Kα2)).
Peak positions follow from Bragg's law for the DFT cell and can differ from measured ones.

Most intense lines, 15° ≤ 2θ ≤ 90°, by angle:
2θ 16.5, intensity 34
2θ 31.1, intensity 100
2θ 35.4, intensity 18
2θ 42.9, intensity 46
2θ 50.9, intensity 19
2θ 76.1, intensity 16

```
NaCa12Ag6
1.0
-5.3774 5.3774 5.3774
5.3774 -5.3774 5.3774
5.3774 5.3774 -5.3774
Na Ca Ag
1 12 6
Direct
0.0000 0.0000 0.0000
0.1154 0.8160 0.2994
0.1840 0.2994 0.4833
0.1840 0.7006 0.8846
0.2994 0.1154 0.8160
0.2994 0.4833 0.1840
0.4833 0.1840 0.2994
0.5167 0.8160 0.7006
0.7006 0.5167 0.8160
0.7006 0.8846 0.1840
0.8160 0.2994 0.1154
0.8160 0.7006 0.5167
0.8846 0.1840 0.7006
0.1284 0.6284 0.5000
0.3716 0.5000 0.8716
0.5000 0.1284 0.6284
0.5000 0.8716 0.3716
0.6284 0.5000 0.1284
0.8716 0.3716 0.5000
```

4.
For NaCa4Ag, a cell relaxed with GGA-PBE gives the computed powder XRD pattern in this record (Cu Kα (weighted mean of Kα1 and Kα2)).
Peak positions follow from Bragg's law for the DFT cell and can differ from measured ones.

Most intense lines, 15° ≤ 2θ ≤ 90°, by angle:
2θ 29.1, intensity 44
2θ 30.4, intensity 91
2θ 30.7, intensity 100
2θ 31.5, intensity 46
2θ 32.2, intensity 52
2θ 34.7, intensity 45

```
NaCa4Ag
1.0
6.2727 0.0000 0.0000
0.0000 7.5307 0.0000
-1.8942 0.0000 9.2016
Na Ca Ag
2 8 2
Direct
0.2235 0.2500 0.4291
0.7765 0.7500 0.5709
0.1401 0.2500 0.0539
0.2116 0.7500 0.3477
0.3271 0.5103 0.7646
0.3271 0.9897 0.7646
0.6729 0.0103 0.2354
0.6729 0.4897 0.2354
0.7884 0.2500 0.6523
0.8599 0.7500 0.9461
0.3617 0.7500 0.0416
0.6383 0.2500 0.9584
```

5.
For NaCaAg, a cell relaxed with GGA-PBE gives the computed powder XRD pattern in this record (Cu Kα (weighted mean of Kα1 and Kα2)).
Peak positions follow from Bragg's law for the DFT cell and can differ from measured ones.

Most intense lines, 15° ≤ 2θ ≤ 90°, by angle:
2θ 24.6, intensity 35
2θ 32.6, intensity 100
2θ 33.3, intensity 51
2θ 36.7, intensity 24
2θ 45.0, intensity 23
2θ 59.1, intensity 33

```
NaCaAg
1.0
3.8042 0.0000 0.0000
0.0000 3.8042 0.0000
0.0000 0.0000 11.8866
Na Ca Ag
2 2 2
Direct
0.0000 0.0000 0.0000
0.5000 0.5000 0.5000
0.0000 0.0000 0.2847
0.5000 0.5000 0.7847
0.0000 0.0000 0.6449
0.5000 0.5000 0.1449
```

6.
For RbNaCa2Ag, a cell relaxed with GGA-PBE gives the computed powder XRD pattern in this record (Cu Kα (weighted mean of Kα1 and Kα2)).
Peak positions follow from Bragg's law for the DFT cell and can differ from measured ones.

Most intense lines, 15° ≤ 2θ ≤ 90°, by angle:
2θ 20.7, intensity 100
2θ 21.2, intensity 29
2θ 28.8, intensity 35
2θ 30.1, intensity 62
2θ 36.8, intensity 46
2θ 42.2, intensity 47

```
RbNaCa2Ag
1.0
5.9388 0.0000 0.0000
0.0000 5.9388 0.0000
0.0000 0.0000 6.1917
Rb Na Ca Ag
1 1 2 1
Direct
0.0000 0.0000 0.0000
0.5000 0.5000 0.0000
0.0000 0.5000 0.5000
0.5000 0.0000 0.5000
0.5000 0.5000 0.5000
```

7.
For CaNdAg4, a cell relaxed with GGA-PBE gives the computed powder XRD pattern in this record (Cu Kα (weighted mean of Kα1 and Kα2)).
Peak positions follow from Bragg's law for the DFT cell and can differ from measured ones.

Most intense lines, 15° ≤ 2θ ≤ 90°, by angle:
2θ 33.4, intensity 67
2θ 36.9, intensity 100
2θ 48.0, intensity 23
2θ 62.0, intensity 41
2θ 68.6, intensity 14
2θ 80.0, intensity 10

```
CaNdAg4
1.0
5.3662 0.0000 0.0000
0.0000 9.5485 0.0000
0.0000 0.0000 5.3586
Ca Nd Ag
2 2 8
Direct
0.0000 0.0000 0.0000
0.5000 0.5000 0.0000
0.0000 0.5000 0.5000
0.5000 0.0000 0.5000
0.0000 0.1727 0.5000
0.0000 0.3239 0.0000
0.0000 0.6761 0.0000
0.0000 0.8273 0.5000
0.5000 0.1761 0.0000
0.5000 0.3273 0.5000
0.5000 0.6727 0.5000
0.5000 0.8239 0.0000
```

8.
For Ca3NdAg4, a cell relaxed with GGA-PBE gives the computed powder XRD pattern in this record (Cu Kα (weighted mean of Kα1 and Kα2)).
Peak positions follow from Bragg's law for the DFT cell and can differ from measured ones.

Most intense lines, 15° ≤ 2θ ≤ 90°, by angle:
2θ 34.1, intensity 100
2θ 49.0, intensity 17
2θ 61.0, intensity 26
2θ 61.1, intensity 8
2θ 71.8, intensity 10
2θ 81.9, intensity 14

```
Ca3NdAg4
1.0
2.6317 1.5194 8.5797
-2.6317 1.5194 8.5797
0.0000 -3.0388 8.5797
Ca Nd Ag
3 1 4
Direct
0.0000 0.0000 0.0000
0.2511 0.2511 0.2511
0.7489 0.7489 0.7489
0.5000 0.5000 0.5000
0.1267 0.1267 0.1267
0.3762 0.3762 0.3762
0.6238 0.6238 0.6238
0.8733 0.8733 0.8733
```

9.
For SrCa2NiAg, a cell relaxed with GGA-PBE gives the computed powder XRD pattern in this record (Cu Kα (weighted mean of Kα1 and Kα2)).
Peak positions follow from Bragg's law for the DFT cell and can differ from measured ones.

Most intense lines, 15° ≤ 2θ ≤ 90°, by angle:
2θ 16.6, intensity 28
2θ 23.6, intensity 48
2θ 29.0, intensity 78
2θ 33.7, intensity 100
2θ 48.3, intensity 69
2θ 57.4, intensity 32

```
SrCa2NiAg
1.0
5.3286 0.0000 0.0000
0.0000 5.3286 0.0000
0.0000 0.0000 5.3192
Sr Ca Ni Ag
1 2 1 1
Direct
0.0000 0.0000 0.0000
0.0000 0.5000 0.5000
0.5000 0.0000 0.5000
0.5000 0.5000 0.5000
0.5000 0.5000 0.0000
```